Calculated powder diffractogram of Li9Co7O16 for Cu Ka, from the GGA+U geometry in the Materials Project.

```
Li9Co7O16
1.0
5.1238 0.0000 0.0000
0.0000 5.8101 0.0000
-1.6412 0.0000 9.5519
Li Co O
9 7 16
Direct
0.0000 0.0000 0.0000 Li
0.0000 0.2460 0.5000 Li
0.0000 0.7540 0.5000 Li
0.2418 0.0000 0.7536 Li
0.2527 0.5000 0.7539 Li
0.5000 0.2473 0.0000 Li
0.5000 0.7527 0.0000 Li
0.7473 0.5000 0.2461 Li
0.7582 0.0000 0.2464 Li
0.0000 0.5000 0.0000 Co
0.2432 0.2450 0.2431 Co
0.2432 0.7550 0.2431 Co
0.5000 0.0000 0.5000 Co
0.5000 0.5000 0.5000 Co
0.7568 0.2450 0.7569 Co
0.7568 0.7550 0.7569 Co
0.1040 0.2720 0.8803 O
0.1040 0.7280 0.8803 O
0.1332 0.0000 0.3715 O
0.1658 0.5000 0.3758 O
0.3435 0.5000 0.1185 O
0.3790 0.0000 0.1404 O
0.3927 0.2609 0.6130 O
0.3927 0.7391 0.6130 O
0.6073 0.2609 0.3870 O
0.6073 0.7391 0.3870 O
0.6210 0.0000 0.8596 O
0.6565 0.5000 0.8815 O
0.8342 0.5000 0.6242 O
0.8668 0.0000 0.6285 O
0.8960 0.2720 0.1197 O
0.8960 0.7280 0.1197 O
```

Top 10 peaks for 2θ from 10° to 80°, in order of falling intensity:
2θ (°)	d (Å)	I (rel.)
18.4	4.814	1000
43.9	2.062	526
43.3	2.091	274
36.2	2.482	266
63.6	1.463	212
63.1	1.472	144
35.8	2.508	143
37.7	2.386	120
57.9	1.592	97
47.7	1.906	93